Entry 1:
Structure and theoretical PXRD pattern of SmEuGaAu (a GGA-PBE-relaxed structure; CuKα).
Peak positions follow from Bragg's law for the DFT cell and can differ from measured ones.

a b c (Å): 5.2447 5.2447 5.2447
angles (deg): 60.00 60.00 60.00
Fractional coordinates of all 4 atoms:
Sm 0.0000 0.0000 0.0000
Eu 0.5000 0.5000 0.5000
Ga 0.7500 0.7500 0.7500
Au 0.2500 0.2500 0.2500

Main lines, low angle first (2θ = 15–90°):
4.282 Å, I 10; 2.622 Å, I 100; 2.236 Å, I 6; 1.854 Å, I 18; 1.702 Å, I 3; 1.514 Å, I 37; 1.427 Å, I 2; 1.311 Å, I 12; 1.254 Å, I 2; 1.173 Å, I 16

---

Entry 2:
Structure and theoretical PXRD pattern of PrEuGeAu (a GGA-PBE-relaxed structure; CuKα).
Peak positions follow from Bragg's law for the DFT cell and can differ from measured ones.

a b c (Å): 5.2892 5.2892 5.2892
angles (deg): 60.00 60.00 60.00
Fractional coordinates of all 4 atoms:
Pr 0.0000 0.0000 0.0000
Eu 0.5000 0.5000 0.5000
Ge 0.7500 0.7500 0.7500
Au 0.2500 0.2500 0.2500

Main lines, low angle first (2θ = 15–90°):
4.319 Å, I 10; 2.645 Å, I 100; 2.255 Å, I 6; 1.870 Å, I 18; 1.716 Å, I 3; 1.527 Å, I 37; 1.440 Å, I 2; 1.322 Å, I 12; 1.264 Å, I 2; 1.183 Å, I 16

---

Entry 3:
Structure and theoretical PXRD pattern of EuHAu (a GGA-PBE-relaxed structure; CuKα).
Peak positions follow from Bragg's law for the DFT cell and can differ from measured ones.

a b c (Å): 7.7435 7.7435 7.7435
angles (deg): 108.99 108.99 108.99
Fractional coordinates of all 18 atoms:
Eu 0.0323 0.6436 0.7929
Eu 0.2071 0.9677 0.3564
Eu 0.3564 0.2071 0.9677
Eu 0.6436 0.7929 0.0323
Eu 0.7929 0.0323 0.6436
Eu 0.9677 0.3564 0.2071
H 0.0282 0.9105 0.7169
H 0.0895 0.2831 0.9718
H 0.2831 0.9718 0.0895
H 0.7169 0.0282 0.9105
H 0.9105 0.7169 0.0282
H 0.9718 0.0895 0.2831
Au 0.2353 0.3785 0.6488
Au 0.3512 0.7647 0.6215
Au 0.3785 0.6488 0.2353
Au 0.6215 0.3512 0.7647
Au 0.6488 0.2353 0.3785
Au 0.7647 0.6215 0.3512

Main lines, low angle first (2θ = 15–90°):
3.639 Å, I 19; 3.152 Å, I 21; 2.859 Å, I 100; 2.437 Å, I 17; 2.406 Å, I 27; 2.383 Å, I 93; 2.025 Å, I 22; 1.830 Å, I 17; 1.769 Å, I 17; 1.480 Å, I 20

---

Entry 4:
Structure and theoretical PXRD pattern of EuHgAu2 (a GGA-PBE-relaxed structure; CuKα).
Peak positions follow from Bragg's law for the DFT cell and can differ from measured ones.

a b c (Å): 3.7310 3.7310 6.7889
angles (deg): 90.00 90.00 90.00
Fractional coordinates of all 4 atoms:
Eu 0.0000 0.0000 0.0000
Hg 0.0000 0.0000 0.5000
Au 0.5000 0.5000 0.2650
Au 0.5000 0.5000 0.7350

Main lines, low angle first (2θ = 15–90°):
2.638 Å, I 58; 2.511 Å, I 100; 1.865 Å, I 21; 1.697 Å, I 7; 1.497 Å, I 41; 1.427 Å, I 17; 1.319 Å, I 7; 1.255 Å, I 11; 1.180 Å, I 10; 1.168 Å, I 9